Diffraction record for NaSrN. The powder X-ray diffraction pattern is theoretical, not measured: it uses a crystal structure in the Materials Project, relaxed with PBE and λ = 1.5418 Å (Cu Kα).

Crystal structure
Lattice parameters (Å, degrees): 3.992 3.992 10.231 90.00 90.00 120.00
Sites, in units of the cell vectors:
Na 0.333 0.667 0.000
Na 0.667 0.333 0.500
Sr 0.000 0.000 0.291
Sr 0.000 0.000 0.791
N 0.333 0.667 0.388
N 0.667 0.333 0.888

Largest 6 diffraction maxima, by intensity, 10° ≤ 2θ ≤ 90°:
Position (°2θ), I (rel.)
31.23, 100
17.34, 44
25.77, 40
44.04, 30
45.44, 28
56.17, 18

Diffraction record for Na3TaN2. The powder X-ray diffraction pattern is theoretical, not measured: it uses a crystal structure in the Materials Project, relaxed with PBE and λ = 1.5418 Å (Cu Kα).

Crystal structure
Lattice parameters (Å, degrees): 10.008 10.008 10.008 109.47 109.47 109.47
Sites, in units of the cell vectors:
Na 0.033 0.569 0.794
Na 0.035 0.774 0.069
Na 0.069 0.035 0.774
Na 0.206 0.967 0.431
Na 0.226 0.931 0.965
Na 0.239 0.706 0.274
Na 0.261 0.535 0.467
Na 0.274 0.239 0.706
Na 0.294 0.726 0.761
Na 0.431 0.206 0.967
Na 0.465 0.533 0.739
Na 0.467 0.261 0.535
Na 0.533 0.739 0.465
Na 0.535 0.467 0.261
Na 0.569 0.794 0.033
Na 0.706 0.274 0.239
Na 0.726 0.761 0.294
Na 0.739 0.465 0.533
Na 0.761 0.294 0.726
Na 0.774 0.069 0.035
Na 0.794 0.033 0.569
Na 0.931 0.965 0.226
Na 0.965 0.226 0.931
Na 0.967 0.431 0.206
Ta 0.000 0.302 0.500
Ta 0.000 0.698 0.500
Ta 0.198 0.198 0.198
Ta 0.302 0.500 0.000
Ta 0.500 0.000 0.302
Ta 0.500 0.000 0.698
Ta 0.698 0.500 0.000
Ta 0.802 0.802 0.802
N 0.000 0.000 0.000
N 0.000 0.500 0.500
N 0.091 0.250 0.341
N 0.159 0.409 0.750
N 0.250 0.341 0.091
N 0.250 0.841 0.591
N 0.341 0.091 0.250
N 0.409 0.750 0.159
N 0.500 0.000 0.500
N 0.500 0.500 0.000
N 0.591 0.250 0.841
N 0.659 0.909 0.750
N 0.750 0.159 0.409
N 0.750 0.659 0.909
N 0.841 0.591 0.250
N 0.909 0.750 0.659

Largest 6 diffraction maxima, by intensity, 10° ≤ 2θ ≤ 90°:
Position (°2θ), I (rel.)
28.91, 100
18.81, 96
30.95, 49
48.56, 40
39.77, 32
15.33, 32

Diffraction record for Na2TiN2. The powder X-ray diffraction pattern is theoretical, not measured: it uses a crystal structure in the Materials Project, relaxed with PBE and λ = 1.5418 Å (Cu Kα).

Crystal structure
Lattice parameters (Å, degrees): 3.137 3.137 8.847 90.00 90.00 120.00
Sites, in units of the cell vectors:
Na 0.333 0.667 0.208
Na 0.667 0.333 0.792
Ti 0.000 0.000 0.500
N 0.333 0.667 0.621
N 0.667 0.333 0.379

Largest 6 diffraction maxima, by intensity, 10° ≤ 2θ ≤ 90°:
Position (°2θ), I (rel.)
38.90, 100
34.54, 55
45.39, 33
58.88, 28
62.66, 22
30.31, 21

Diffraction record for Na3VN2. The powder X-ray diffraction pattern is theoretical, not measured: it uses a crystal structure in the Materials Project, relaxed with PBE and λ = 1.5418 Å (Cu Kα).

Crystal structure
Lattice parameters (Å, degrees): 9.522 9.522 9.522 109.47 109.47 109.47
Sites, in units of the cell vectors:
Na 0.021 0.768 0.076
Na 0.054 0.576 0.808
Na 0.076 0.021 0.768
Na 0.192 0.946 0.424
Na 0.232 0.924 0.979
Na 0.246 0.692 0.268
Na 0.254 0.521 0.446
Na 0.268 0.246 0.692
Na 0.308 0.732 0.754
Na 0.424 0.192 0.946
Na 0.446 0.254 0.521
Na 0.479 0.554 0.746
Na 0.521 0.446 0.254
Na 0.554 0.746 0.479
Na 0.576 0.808 0.054
Na 0.692 0.268 0.246
Na 0.732 0.754 0.308
Na 0.746 0.479 0.554
Na 0.754 0.308 0.732
Na 0.768 0.076 0.021
Na 0.808 0.054 0.576
Na 0.924 0.979 0.232
Na 0.946 0.424 0.192
Na 0.979 0.232 0.924
V 0.000 0.297 0.500
V 0.000 0.703 0.500
V 0.203 0.203 0.203
V 0.297 0.500 0.000
V 0.500 0.000 0.297
V 0.500 0.000 0.703
V 0.703 0.500 0.000
V 0.797 0.797 0.797
N 0.000 0.000 0.000
N 0.000 0.500 0.500
N 0.093 0.343 0.750
N 0.157 0.250 0.407
N 0.250 0.407 0.157
N 0.250 0.907 0.657
N 0.343 0.750 0.093
N 0.407 0.157 0.250
N 0.500 0.000 0.500
N 0.500 0.500 0.000
N 0.593 0.843 0.750
N 0.657 0.250 0.907
N 0.750 0.093 0.343
N 0.750 0.593 0.843
N 0.843 0.750 0.593
N 0.907 0.657 0.250

Largest 6 diffraction maxima, by intensity, 10° ≤ 2θ ≤ 90°:
Position (°2θ), I (rel.)
41.90, 100
32.58, 96
46.74, 58
34.61, 53
19.78, 52
51.22, 46